No. 1
Starting from a crystal structure in Alexandria, relaxed with GGA-PBE, the powder X-ray diffraction pattern of CuAgSn2S4 was computed for Cu Kα (weighted mean of Kα1 and Kα2).
Peak positions follow from Bragg's law for the DFT cell and can differ from measured ones.

Most intense lines, 2θ from 5° to 70°, sorted by position:
Position (°2θ)	intensity
25.82	894
28.36	1000
29.26	343
38.27	291
46.53	603
48.31	440

Structural model:
Cell lengths 6.9216, 6.4704, 6.1814 Å; angles 66.29, 58.86, 54.85 degrees
Atoms (fractional coordinates):
Cu (0.0000, 0.0000, 0.0000)
Ag (0.4950, 0.4950, 0.5050)
Sn (0.2619, 0.2619, 0.2381)
Sn (0.7619, 0.7619, 0.7381)
S (0.0924, 0.6317, 0.9076)
S (0.3297, 0.8716, 0.1284)
S (0.6317, 0.0924, 0.3683)
S (0.8716, 0.3297, 0.6703)

=====

No. 2
Starting from a crystal structure in Alexandria, relaxed with GGA-PBE, the powder X-ray diffraction pattern of TiCuAg2S4 was computed for Cu Kα (weighted mean of Kα1 and Kα2).
Peak positions follow from Bragg's law for the DFT cell and can differ from measured ones.

Most intense lines, 2θ from 5° to 70°, sorted by position:
Position (°2θ)	intensity
27.72	1000
32.49	106
45.77	376
46.61	188
53.60	139
55.10	265

Structural model:
Cell lengths 6.9112, 6.9112, 6.9112 Å; angles 133.00, 133.00, 68.65 degrees
Atoms (fractional coordinates):
Ti (0.0000, 0.0000, 0.0000)
Cu (0.5000, 0.5000, 0.0000)
Ag (0.2500, 0.7500, 0.5000)
Ag (0.7500, 0.2500, 0.5000)
S (0.1417, 0.6441, 0.0000)
S (0.3559, 0.3559, 0.4976)
S (0.6441, 0.1417, 0.0000)
S (0.8583, 0.8583, 0.5024)

=====

No. 3
Starting from a crystal structure in Alexandria, relaxed with GGA-PBE, the powder X-ray diffraction pattern of CuAgSb was computed for Cu Kα (weighted mean of Kα1 and Kα2).
Peak positions follow from Bragg's law for the DFT cell and can differ from measured ones.

Most intense lines, 2θ from 5° to 70°, sorted by position:
Position (°2θ)	intensity
28.37	192
29.36	403
32.70	248
41.29	1000
42.00	511
60.91	162

Structural model:
Cell lengths 4.3031, 4.3010, 6.2913 Å; angles 90.00, 90.03, 90.00 degrees
Atoms (fractional coordinates):
Cu (0.0000, 0.0000, 0.0000)
Cu (0.4999, 0.5000, 0.0000)
Ag (0.0003, 0.5000, 0.7250)
Ag (0.5011, 0.0000, 0.2752)
Sb (0.0010, 0.5000, 0.2734)
Sb (0.5004, 0.0000, 0.7268)